MgFe6O7F5: calculated X-ray diffraction stick pattern (a wavelength of 1.5418 Å), based on a structure optimized by DFT (GGA+U).
Kinematic intensities with the Lorentz-polarization factor, no thermal factor.

Top 10 peaks for 2θ = 10–90°, in order of rising 2θ:
2theta, d_spacing, I (rel.)
22.90, 3.884, 99
27.36, 3.260, 100
32.31, 2.771, 33
34.36, 2.610, 33
34.61, 2.592, 34
34.82, 2.577, 27
48.82, 1.865, 26
53.47, 1.714, 22
56.45, 1.630, 22
61.33, 1.512, 22

Cell and atoms:
```
data_MgFe6O7F5
_chemical_formula_sum 'Mg1 Fe6 O7 F5'
_space_group_name_H-M_alt 'P 1'
_space_group_IT_number 1
_cell_length_a 5.803
_cell_length_b 6.019
_cell_length_c 7.837
_cell_angle_alpha 107.38
_cell_angle_beta 98.13
_cell_angle_gamma 113.02
loop_
_space_group_symop_operation_xyz
'x,y,z'
loop_
_atom_site_label
_atom_site_type_symbol
_atom_site_fract_x
_atom_site_fract_y
_atom_site_fract_z
Mg1 Mg 0.000 0.000 0.000
Fe1 Fe 0.016 0.528 0.035
Fe2 Fe 0.061 0.026 0.507
Fe3 Fe 0.324 0.553 0.380
Fe4 Fe 0.380 0.963 0.811
Fe5 Fe 0.644 0.049 0.224
Fe6 Fe 0.722 0.413 0.642
O1 O 0.051 0.698 0.844
O2 O 0.255 0.820 0.544
O3 O 0.361 0.319 0.506
O4 O 0.375 0.695 0.186
O5 O 0.675 0.287 0.844
O6 O 0.836 0.190 0.493
O7 O 0.978 0.300 0.179
F1 F 0.121 0.141 0.796
F2 F 0.396 0.158 0.095
F3 F 0.612 0.824 0.888
F4 F 0.735 0.694 0.492
F5 F 0.953 0.827 0.200
```

---

Mg14NbCrO16: calculated X-ray diffraction stick pattern (a wavelength of 1.5418 Å), based on a structure optimized by DFT (GGA+U).
Kinematic intensities with the Lorentz-polarization factor, no thermal factor.

Top 10 peaks for 2θ = 10–90°, in order of rising 2θ:
2theta, d_spacing, I (rel.)
14.48, 6.117, 18
25.33, 3.516, 12
29.27, 3.052, 14
36.05, 2.492, 32
41.77, 2.163, 100
42.06, 2.148, 49
60.55, 1.529, 28
60.77, 1.524, 57
72.53, 1.303, 12
76.46, 1.246, 26

Cell and atoms:
```
data_Mg14NbCrO16
_chemical_formula_sum 'Mg14 Nb1 Cr1 O16'
_space_group_name_H-M_alt 'P 1'
_space_group_IT_number 1
_cell_length_a 8.650
_cell_length_b 8.650
_cell_length_c 4.297
_cell_angle_alpha 90.00
_cell_angle_beta 90.00
_cell_angle_gamma 90.00
loop_
_space_group_symop_operation_xyz
'x,y,z'
loop_
_atom_site_label
_atom_site_type_symbol
_atom_site_fract_x
_atom_site_fract_y
_atom_site_fract_z
Mg1 Mg 0.000 0.251 0.000
Mg2 Mg 0.000 0.500 0.500
Mg3 Mg 0.000 0.749 0.000
Mg4 Mg 0.243 0.500 0.000
Mg5 Mg 0.247 0.247 0.500
Mg6 Mg 0.247 0.753 0.500
Mg7 Mg 0.251 0.000 0.000
Mg8 Mg 0.500 0.000 0.500
Mg9 Mg 0.500 0.243 0.000
Mg10 Mg 0.500 0.757 0.000
Mg11 Mg 0.749 0.000 0.000
Mg12 Mg 0.753 0.247 0.500
Mg13 Mg 0.753 0.753 0.500
Mg14 Mg 0.757 0.500 0.000
Nb1 Nb 0.500 0.500 0.500
Cr1 Cr 0.000 0.000 0.500
O1 O 0.000 0.000 0.000
O2 O 0.000 0.261 0.500
O3 O 0.000 0.500 0.000
O4 O 0.000 0.739 0.500
O5 O 0.242 0.500 0.500
O6 O 0.251 0.251 0.000
O7 O 0.251 0.749 0.000
O8 O 0.261 0.000 0.500
O9 O 0.500 0.000 0.000
O10 O 0.500 0.242 0.500
O11 O 0.500 0.500 0.000
O12 O 0.500 0.758 0.500
O13 O 0.739 0.000 0.500
O14 O 0.749 0.251 0.000
O15 O 0.749 0.749 0.000
O16 O 0.758 0.500 0.500
```

---

Al2FeP3O12: calculated X-ray diffraction stick pattern (a wavelength of 1.5418 Å), based on a structure optimized by DFT (GGA+U).
Kinematic intensities with the Lorentz-polarization factor, no thermal factor.

Top 10 peaks for 2θ = 10–90°, in order of rising 2θ:
2theta, d_spacing, I (rel.)
21.25, 4.181, 100
27.46, 3.247, 9
30.37, 2.943, 12
34.88, 2.572, 16
35.10, 2.557, 5
41.17, 2.193, 4
45.34, 2.000, 4
46.87, 1.939, 5
55.09, 1.667, 4
58.12, 1.587, 3

Cell and atoms:
```
data_Al2FeP3O12
_chemical_formula_sum 'Al4 Fe2 P6 O24'
_space_group_name_H-M_alt 'P 1'
_space_group_IT_number 1
_cell_length_a 5.142
_cell_length_b 7.176
_cell_length_c 15.442
_cell_angle_alpha 90.16
_cell_angle_beta 90.16
_cell_angle_gamma 90.17
loop_
_space_group_symop_operation_xyz
'x,y,z'
loop_
_atom_site_label
_atom_site_type_symbol
_atom_site_fract_x
_atom_site_fract_y
_atom_site_fract_z
Al1 Al 0.000 0.000 0.000
Al2 Al 0.001 0.001 0.330
Al3 Al 0.003 0.000 0.664
Al4 Al 0.404 0.500 0.198
Fe1 Fe 0.402 0.500 0.865
Fe2 Fe 0.402 0.501 0.531
P1 P 0.501 0.247 0.035
P2 P 0.502 0.245 0.361
P3 P 0.505 0.242 0.700
P4 P 0.898 0.760 0.497
P5 P 0.898 0.760 0.831
P6 P 0.903 0.749 0.165
O1 O 0.057 0.583 0.518
O2 O 0.057 0.584 0.852
O3 O 0.086 0.585 0.185
O4 O 0.320 0.082 0.013
O5 O 0.322 0.081 0.340
O6 O 0.325 0.078 0.675
O7 O 0.441 0.415 0.304
O8 O 0.442 0.417 0.646
O9 O 0.442 0.419 0.979
O10 O 0.465 0.306 0.131
O11 O 0.467 0.299 0.458
O12 O 0.470 0.289 0.796
O13 O 0.607 0.712 0.509
O14 O 0.607 0.712 0.842
O15 O 0.620 0.685 0.178
O16 O 0.784 0.184 0.020
O17 O 0.786 0.186 0.348
O18 O 0.788 0.184 0.683
O19 O 0.940 0.813 0.071
O20 O 0.948 0.818 0.403
O21 O 0.948 0.818 0.737
O22 O 0.961 0.916 0.225
O23 O 0.971 0.923 0.557
O24 O 0.971 0.923 0.892
```